Entry 1:
This entry pairs a crystal structure of Mg14ZnNiO16 with its calculated X-ray diffraction stick pattern. Radiation: Cu Kα (weighted mean of Kα1 and Kα2). Structure: the PBE+U geometry in the Materials Project.

Principal peaks in the range 2θ = 15–90°, in order of rising 2θ:
Position (°2θ)	d/Å	intensity
20.85	4.260	8
25.60	3.479	6
29.65	3.013	7
36.53	2.460	20
39.58	2.277	4
42.43	2.130	100
47.73	1.905	4
61.57	1.506	57
73.76	1.285	11
77.63	1.230	17

Structure:
```
data_Mg14ZnNiO16
_space_group_name_H-M_alt 'P 1'
_space_group_IT_number 1
_cell_length_a 8.520
_cell_length_b 8.520
_cell_length_c 4.262
_cell_angle_alpha 90.00
_cell_angle_beta 90.00
_cell_angle_gamma 90.00
loop_
_space_group_symop_operation_xyz
'x,y,z'
loop_
_atom_site_label
_atom_site_fract_x
_atom_site_fract_y
_atom_site_fract_z
Mg1 0.000 0.249 0.000
Mg2 0.000 0.500 0.500
Mg3 0.000 0.751 0.000
Mg4 0.249 0.000 0.000
Mg5 0.250 0.250 0.500
Mg6 0.250 0.500 0.000
Mg7 0.250 0.750 0.500
Mg8 0.500 0.000 0.500
Mg9 0.500 0.250 0.000
Mg10 0.500 0.750 0.000
Mg11 0.750 0.250 0.500
Mg12 0.750 0.500 0.000
Mg13 0.750 0.750 0.500
Mg14 0.751 0.000 0.000
Zn1 0.500 0.500 0.500
Ni1 0.000 0.000 0.500
O1 0.000 0.000 0.000
O2 0.000 0.251 0.500
O3 0.000 0.500 0.000
O4 0.000 0.749 0.500
O5 0.246 0.500 0.500
O6 0.250 0.250 0.000
O7 0.250 0.750 0.000
O8 0.251 0.000 0.500
O9 0.500 0.000 0.000
O10 0.500 0.246 0.500
O11 0.500 0.500 0.000
O12 0.500 0.754 0.500
O13 0.749 0.000 0.500
O14 0.750 0.250 0.000
O15 0.750 0.750 0.000
O16 0.754 0.500 0.500
```

Entry 2:
This entry pairs a crystal structure of SrFeAsF with its calculated X-ray diffraction stick pattern. Radiation: Cu Kα (weighted mean of Kα1 and Kα2). Structure: the PBE+U geometry in the Materials Project.

Principal peaks in the range 2θ = 15–90°, in order of rising 2θ:
Position (°2θ)	d/Å	intensity
28.71	3.110	100
30.41	2.940	14
36.07	2.490	55
43.54	2.079	43
44.38	2.041	21
49.76	1.832	30
52.98	1.728	37
63.27	1.470	13
63.92	1.456	14
76.24	1.249	13

Structure:
```
data_SrFeAsF
_space_group_name_H-M_alt 'P 1'
_space_group_IT_number 1
_cell_length_a 4.157
_cell_length_b 4.157
_cell_length_c 9.372
_cell_angle_alpha 90.00
_cell_angle_beta 90.00
_cell_angle_gamma 90.00
loop_
_space_group_symop_operation_xyz
'x,y,z'
loop_
_atom_site_label
_atom_site_fract_x
_atom_site_fract_y
_atom_site_fract_z
Sr1 0.250 0.250 0.149
Sr2 0.750 0.750 0.851
Fe1 0.250 0.750 0.500
Fe2 0.750 0.250 0.500
As1 0.250 0.250 0.673
As2 0.750 0.750 0.327
F1 0.250 0.750 0.000
F2 0.750 0.250 0.000
```

Entry 3:
This entry pairs a crystal structure of Li2Ti3MnO8 with its calculated X-ray diffraction stick pattern. Radiation: Cu Kα (weighted mean of Kα1 and Kα2). Structure: the PBE+U geometry in the Materials Project.

Principal peaks in the range 2θ = 15–90°, in order of rising 2θ:
Position (°2θ)	d/Å	intensity
17.39	5.100	44
18.09	4.903	100
34.04	2.634	17
34.80	2.578	37
35.18	2.551	13
42.16	2.143	82
55.77	1.648	12
60.16	1.538	24
62.12	1.494	24
77.96	1.226	12

Structure:
```
data_Li2Ti3MnO8
_space_group_name_H-M_alt 'P 1'
_space_group_IT_number 1
_cell_length_a 6.157
_cell_length_b 6.157
_cell_length_c 6.157
_cell_angle_alpha 58.07
_cell_angle_beta 58.07
_cell_angle_gamma 58.07
loop_
_space_group_symop_operation_xyz
'x,y,z'
loop_
_atom_site_label
_atom_site_fract_x
_atom_site_fract_y
_atom_site_fract_z
Li1 0.117 0.117 0.117
Li2 0.883 0.883 0.883
Ti1 0.000 0.500 0.500
Ti2 0.500 0.000 0.500
Ti3 0.500 0.500 0.000
Mn1 0.500 0.500 0.500
O1 0.250 0.250 0.709
O2 0.250 0.709 0.250
O3 0.263 0.263 0.263
O4 0.291 0.750 0.750
O5 0.709 0.250 0.250
O6 0.737 0.737 0.737
O7 0.750 0.291 0.750
O8 0.750 0.750 0.291
```

Entry 4:
This entry pairs a crystal structure of SrFe3P3O13 with its calculated X-ray diffraction stick pattern. Radiation: Cu Kα (weighted mean of Kα1 and Kα2). Structure: the PBE+U geometry in the Materials Project.

Principal peaks in the range 2θ = 15–90°, in order of rising 2θ:
Position (°2θ)	d/Å	intensity
19.11	4.644	82
22.36	3.975	69
23.42	3.798	67
23.58	3.773	42
27.73	3.217	100
29.42	3.036	61
30.20	2.959	80
32.01	2.796	51
35.04	2.561	62
38.28	2.352	53

Structure:
```
data_SrFe3P3O13
_space_group_name_H-M_alt 'P 1'
_space_group_IT_number 1
_cell_length_a 7.702
_cell_length_b 6.434
_cell_length_c 10.476
_cell_angle_alpha 90.00
_cell_angle_beta 99.56
_cell_angle_gamma 90.00
loop_
_space_group_symop_operation_xyz
'x,y,z'
loop_
_atom_site_label
_atom_site_fract_x
_atom_site_fract_y
_atom_site_fract_z
Sr1 0.164 0.250 0.201
Sr2 0.836 0.750 0.799
Fe1 0.149 0.250 0.802
Fe2 0.289 0.750 0.442
Fe3 0.500 0.000 0.000
Fe4 0.500 0.500 0.000
Fe5 0.711 0.250 0.558
Fe6 0.851 0.750 0.198
P1 0.188 0.750 0.116
P2 0.247 0.750 0.763
P3 0.284 0.250 0.519
P4 0.716 0.750 0.481
P5 0.753 0.250 0.237
P6 0.812 0.250 0.884
O1 0.004 0.250 0.958
O2 0.133 0.562 0.788
O3 0.133 0.938 0.788
O4 0.151 0.750 0.260
O5 0.155 0.250 0.615
O6 0.250 0.059 0.426
O7 0.250 0.441 0.426
O8 0.291 0.552 0.092
O9 0.291 0.948 0.092
O10 0.300 0.750 0.629
O11 0.378 0.250 0.910
O12 0.421 0.750 0.867
O13 0.476 0.250 0.592
O14 0.524 0.750 0.408
O15 0.579 0.250 0.133
O16 0.622 0.750 0.090
O17 0.700 0.250 0.371
O18 0.709 0.052 0.908
O19 0.709 0.448 0.908
O20 0.750 0.559 0.574
O21 0.750 0.941 0.574
O22 0.845 0.750 0.385
O23 0.849 0.250 0.740
O24 0.867 0.062 0.212
O25 0.867 0.438 0.212
O26 0.996 0.750 0.042
```

Entry 5:
This entry pairs a crystal structure of MnFeO2 with its calculated X-ray diffraction stick pattern. Radiation: Cu Kα (weighted mean of Kα1 and Kα2). Structure: the PBE+U geometry in the Materials Project.

Principal peaks in the range 2θ = 15–90°, in order of rising 2θ:
Position (°2θ)	d/Å	intensity
35.25	2.546	64
40.93	2.205	100
59.27	1.559	58
70.87	1.330	25
74.54	1.273	18
88.74	1.102	8

Structure:
```
data_MnFeO2
_space_group_name_H-M_alt 'P 1'
_space_group_IT_number 1
_cell_length_a 3.117
_cell_length_b 3.117
_cell_length_c 4.412
_cell_angle_alpha 90.00
_cell_angle_beta 90.00
_cell_angle_gamma 90.00
loop_
_space_group_symop_operation_xyz
'x,y,z'
loop_
_atom_site_label
_atom_site_fract_x
_atom_site_fract_y
_atom_site_fract_z
Mn1 0.000 0.000 0.000
Fe1 0.500 0.500 0.500
O1 0.000 0.000 0.500
O2 0.500 0.500 0.000
```